Calculated powder diffraction line list
Compound: YZr2SiC
Radiation: λ = 1.5418 Å (Cu Kα)
Structure: a cell relaxed with GGA-PBE
Kinematic intensities with the Lorentz-polarization factor, no thermal factor.

Principal peaks in the range 15 to 90 degrees two-theta, in order of rising 2θ:
index, d [Å], 2θ/deg, intensity
0 0 1, 4.769, 18.6, 81
1 0 0, 4.499, 19.7, 124
1 1 1, 2.647, 33.9, 1000
0 0 2, 2.385, 37.7, 212
2 0 0, 2.250, 40.1, 355
2 0 2, 1.636, 56.2, 254
2 2 0, 1.591, 58.0, 119
1 1 3, 1.422, 65.7, 146
3 1 1, 1.363, 68.9, 243
2 2 2, 1.323, 71.3, 122

a b c (Å): 4.4993 4.4993 4.7693
angles (deg): 90.00 90.00 90.00
Space group P4/mmm (No. 123)
Inequivalent atoms, fractional coordinates:
Y  0.0000  0.0000  0.0000 x1
Zr  0.0000  0.5000  0.5000 x2
Si  0.5000  0.5000  0.0000 x1
C  0.0000  0.0000  0.5000 x1

Calculated powder diffraction line list
Compound: Ce3ErIr
Radiation: λ = 1.5418 Å (Cu Kα)
Structure: a cell relaxed with GGA-PBE
Kinematic intensities with the Lorentz-polarization factor, no thermal factor.

Principal peaks in the range 15 to 90 degrees two-theta, in order of rising 2θ:
index, d [Å], 2θ/deg, intensity
1 0 1, 4.666, 19.0, 216
1 1 1, 3.781, 23.5, 285
0 0 2, 3.069, 29.1, 207
2 1 1, 2.794, 32.0, 1000
0 1 2, 2.771, 32.3, 161
1 2 1, 2.654, 33.8, 273
0 2 2, 2.224, 40.6, 230
2 1 2, 2.194, 41.1, 239
1 3 0, 2.060, 43.9, 162
2 1 3, 1.714, 53.5, 193

a b c (Å): 7.1824 6.4527 6.1377
angles (deg): 90.00 90.00 90.00
Space group Pmn2_1 (No. 31)
Inequivalent atoms, fractional coordinates:
Ce  0.0000  0.0752  0.0000 x2
Ce  0.2413  0.7328  0.0023 x4
Er  0.0000  0.7785  0.5073 x2
Ir  0.0000  0.4463  0.2221 x2

Calculated powder diffraction line list
Compound: Tb2CeNdDy
Radiation: λ = 1.5418 Å (Cu Kα)
Structure: a cell relaxed with GGA-PBE
Kinematic intensities with the Lorentz-polarization factor, no thermal factor.

Principal peaks in the range 15 to 90 degrees two-theta, in order of rising 2θ:
index, d [Å], 2θ/deg, intensity
0 1 2, 3.188, 28.0, 278
1 2 1, 2.999, 29.8, 1000
2 0 0, 2.963, 30.2, 243
1 1 2, 2.807, 31.9, 422
2 0 1, 2.725, 32.9, 170
2 1 1, 2.581, 34.8, 281
2 0 2, 2.254, 40.0, 155
2 3 1, 1.910, 47.6, 229
3 2 1, 1.717, 53.3, 197
2 2 3, 1.661, 55.3, 218

a b c (Å): 5.9250 8.0329 6.9457
angles (deg): 90.00 90.00 90.00
Space group Pmma (No. 51)
Inequivalent atoms, fractional coordinates:
Tb  0.2500  0.2039  0.1876 x4
Ce  0.0000  0.5000  0.5000 x2
Nd  0.2500  0.0000  0.6642 x2
Dy  0.2500  0.5000  0.9046 x2

Calculated powder diffraction line list
Compound: La3Ni2Sn4
Radiation: λ = 1.5418 Å (Cu Kα)
Structure: a cell relaxed with GGA-PBE
Kinematic intensities with the Lorentz-polarization factor, no thermal factor.

Principal peaks in the range 15 to 90 degrees two-theta, in order of rising 2θ:
index, d [Å], 2θ/deg, intensity
3 1 0, 2.962, 30.2, 545
1 1 2, 2.952, 30.3, 1000
4 0 -1, 2.926, 30.6, 435
0 0 3, 2.907, 30.8, 269
0 2 0, 2.313, 38.9, 392
3 1 -3, 2.255, 40.0, 635
4 0 2, 2.215, 40.7, 304
4 2 -1, 1.815, 50.3, 217
4 2 2, 1.600, 57.6, 220
7 1 -1, 1.585, 58.2, 211

a b c (Å): 11.8092 4.6261 8.9019
angles (deg): 90.00 101.53 90.00
Space group C2/m (No. 12)
Inequivalent atoms, fractional coordinates:
La  0.0000  0.0000  0.0000 x2
La  0.1526  0.5000  0.6581 x4
Ni  0.0921  0.5000  0.2780 x4
Sn  0.0696  0.0000  0.3805 x4
Sn  0.2217  0.5000  0.0848 x4